[1]
Theoretical powder diffractogram of MgCd2Co4O8 for Cu Kα (weighted mean of Kα1 and Kα2), from a PBE+U-relaxed structure.

Top 8 peaks for 5° ≤ 2θ ≤ 70°, low angle first:
d/Å, two_theta, I/Imax
3.100, 28.80, 38
2.949, 30.31, 35
2.762, 32.42, 100
2.656, 33.75, 47
2.612, 34.33, 44
2.584, 34.72, 86
2.542, 35.31, 46
1.650, 55.72, 31

Cell and atoms:
Cell lengths 5.899, 6.201, 6.314 Å; angles 118.74, 117.11, 91.26 degrees
Positions (direct):
Mg: 0.000 0.000 0.000
Cd: 0.056 0.555 0.110
Cd: 0.704 0.702 0.405
Co: 0.391 0.136 0.780
Co: 0.391 0.644 0.780
Co: 0.481 0.185 0.390
Co: 0.910 0.205 0.392
O: 0.155 0.873 0.756
O: 0.174 0.382 0.353
O: 0.180 0.971 0.353
O: 0.190 0.394 0.800
O: 0.587 0.298 0.190
O: 0.601 0.882 0.754
O: 0.606 0.892 0.190
O: 0.611 0.405 0.798



[2]
Theoretical powder diffractogram of MgCd2Co4O8 for Cu Kα (weighted mean of Kα1 and Kα2), from a PBE+U-relaxed structure.

Top 8 peaks for 5° ≤ 2θ ≤ 70°, low angle first:
d/Å, two_theta, I/Imax
3.625, 24.56, 74
3.160, 28.24, 73
3.006, 29.72, 100
2.510, 35.78, 39
1.991, 45.57, 51
1.950, 46.57, 43
1.812, 50.35, 22
1.580, 58.42, 32

Cell and atoms:
Cell lengths 6.510, 6.510, 6.510 Å; angles 112.33, 112.33, 103.90 degrees
Positions (direct):
Mg: 0.000 0.000 0.000
Cd: 0.250 0.750 0.500
Cd: 0.500 0.500 0.000
Co: 0.447 0.124 0.322
Co: 0.802 0.124 0.678
Co: 0.876 0.198 0.322
Co: 0.876 0.553 0.678
O: 0.081 0.359 0.721
O: 0.094 0.342 0.248
O: 0.094 0.846 0.752
O: 0.154 0.906 0.248
O: 0.638 0.359 0.279
O: 0.641 0.362 0.721
O: 0.641 0.919 0.279
O: 0.658 0.906 0.752



[3]
Theoretical powder diffractogram of MgCd2Co4O8 for Cu Kα (weighted mean of Kα1 and Kα2), from a PBE+U-relaxed structure.

Top 8 peaks for 5° ≤ 2θ ≤ 70°, low angle first:
d/Å, two_theta, I/Imax
3.246, 27.48, 70
3.016, 29.62, 52
2.815, 31.79, 58
2.807, 31.88, 48
2.787, 32.12, 72
2.757, 32.47, 70
2.704, 33.13, 54
2.667, 33.61, 100

Cell and atoms:
Cell lengths 6.049, 6.316, 6.370 Å; angles 95.13, 116.59, 115.59 degrees
Positions (direct):
Mg: 0.000 0.000 0.000
Cd: 0.459 0.451 0.595
Cd: 0.994 0.350 0.740
Co: 0.316 0.839 0.271
Co: 0.317 0.914 0.733
Co: 0.739 0.367 0.169
Co: 0.749 0.824 0.251
O: 0.185 0.056 0.375
O: 0.214 0.644 0.475
O: 0.269 0.141 0.888
O: 0.332 0.723 0.979
O: 0.716 0.109 0.362
O: 0.726 0.616 0.425
O: 0.748 0.136 0.910
O: 0.793 0.647 0.997



[4]
Theoretical powder diffractogram of MgCd2Co4O8 for Cu Kα (weighted mean of Kα1 and Kα2), from a PBE+U-relaxed structure.

Top 8 peaks for 5° ≤ 2θ ≤ 70°, low angle first:
d/Å, two_theta, I/Imax
2.952, 30.28, 50
2.886, 30.98, 59
2.874, 31.12, 64
2.764, 32.39, 100
2.689, 33.31, 55
2.526, 35.54, 49
2.475, 36.30, 50
2.004, 45.26, 57

Cell and atoms:
Cell lengths 5.922, 5.950, 6.019 Å; angles 106.36, 118.10, 94.52 degrees
Positions (direct):
Mg: 0.000 0.000 0.000
Cd: 0.148 0.492 0.292
Cd: 0.856 0.503 0.736
Co: 0.018 0.999 0.511
Co: 0.507 0.993 0.013
Co: 0.509 0.991 0.491
Co: 0.511 0.494 0.010
O: 0.220 0.177 0.418
O: 0.244 0.217 0.942
O: 0.286 0.745 0.066
O: 0.313 0.826 0.624
O: 0.727 0.179 0.391
O: 0.738 0.249 0.941
O: 0.776 0.772 0.070
O: 0.806 0.811 0.586



[5]
Theoretical powder diffractogram of MgCd2Co4O8 for Cu Kα (weighted mean of Kα1 and Kα2), from a PBE+U-relaxed structure.

Top 8 peaks for 5° ≤ 2θ ≤ 70°, low angle first:
d/Å, two_theta, I/Imax
3.028, 29.50, 100
2.933, 30.48, 39
2.695, 33.24, 68
2.663, 33.65, 56
2.576, 34.82, 85
2.538, 35.36, 42
2.193, 41.17, 49
2.178, 41.45, 58

Cell and atoms:
Cell lengths 6.061, 6.061, 6.518 Å; angles 119.48, 119.48, 57.89 degrees
Positions (direct):
Mg: 0.000 0.000 0.000
Cd: 0.319 0.319 0.548
Cd: 0.987 0.987 0.512
Co: 0.000 0.506 0.998
Co: 0.506 0.000 0.998
Co: 0.522 0.522 0.032
Co: 0.570 0.570 0.477
O: 0.235 0.235 0.172
O: 0.242 0.242 0.792
O: 0.246 0.719 0.209
O: 0.294 0.766 0.812
O: 0.719 0.246 0.209
O: 0.755 0.755 0.192
O: 0.763 0.763 0.803
O: 0.766 0.294 0.812



[6]
Theoretical powder diffractogram of MgCd2Co4O8 for Cu Kα (weighted mean of Kα1 and Kα2), from a PBE+U-relaxed structure.

Top 8 peaks for 5° ≤ 2θ ≤ 70°, low angle first:
d/Å, two_theta, I/Imax
3.159, 28.25, 54
3.113, 28.67, 38
3.011, 29.67, 36
2.743, 32.64, 96
2.649, 33.83, 91
2.601, 34.48, 100
2.038, 44.46, 43
1.681, 54.61, 46

Cell and atoms:
Cell lengths 6.334, 6.334, 6.334 Å; angles 123.25, 121.12, 86.27 degrees
Positions (direct):
Mg: 0.000 0.000 0.000
Cd: 0.554 0.054 0.500
Cd: 0.709 0.709 0.000
Co: 0.144 0.396 0.748
Co: 0.189 0.470 0.281
Co: 0.189 0.907 0.719
Co: 0.648 0.396 0.252
O: 0.309 0.605 0.704
O: 0.386 0.180 0.206
O: 0.404 0.197 0.793
O: 0.404 0.611 0.207
O: 0.886 0.165 0.279
O: 0.886 0.607 0.721
O: 0.900 0.605 0.296
O: 0.974 0.180 0.794



[7]
Theoretical powder diffractogram of CdCoO3 for Cu Kα (weighted mean of Kα1 and Kα2), from a PBE+U-relaxed structure.

Top 8 peaks for 5° ≤ 2θ ≤ 70°, low angle first:
d/Å, two_theta, I/Imax
3.391, 26.28, 57
3.177, 28.09, 63
2.918, 30.64, 100
2.735, 32.74, 89
2.552, 35.16, 67
2.073, 43.67, 33
1.647, 55.84, 34
1.564, 59.07, 42

Cell and atoms:
Cell lengths 6.839, 6.839, 5.131 Å; angles 94.51, 94.51, 83.17 degrees
Positions (direct):
Cd: 0.099 0.324 0.275
Cd: 0.324 0.099 0.775
Cd: 0.676 0.901 0.225
Cd: 0.901 0.676 0.725
Co: 0.241 0.759 0.250
Co: 0.423 0.577 0.750
Co: 0.577 0.423 0.250
Co: 0.759 0.241 0.750
O: 0.013 0.241 0.859
O: 0.187 0.599 0.554
O: 0.241 0.013 0.359
O: 0.326 0.488 0.063
O: 0.401 0.813 0.946
O: 0.488 0.326 0.563
O: 0.512 0.674 0.437
O: 0.599 0.187 0.054
O: 0.674 0.512 0.937
O: 0.759 0.987 0.641
O: 0.813 0.401 0.446
O: 0.987 0.759 0.141



[8]
Theoretical powder diffractogram of CdCo2O4 for Cu Kα (weighted mean of Kα1 and Kα2), from a PBE+U-relaxed structure.

Top 8 peaks for 5° ≤ 2θ ≤ 70°, low angle first:
d/Å, two_theta, I/Imax
3.172, 28.13, 50
3.147, 28.36, 98
2.830, 31.61, 100
2.528, 35.51, 92
2.521, 35.61, 70
2.504, 35.86, 82
2.493, 36.03, 53
1.586, 58.18, 53

Cell and atoms:
Cell lengths 5.800, 5.861, 6.320 Å; angles 116.46, 116.84, 90.75 degrees
Positions (direct):
Cd: 0.129 0.386 0.254
Cd: 0.871 0.614 0.746
Co: 0.000 0.000 0.500
Co: 0.500 0.000 0.000
Co: 0.500 0.000 0.500
Co: 0.500 0.500 0.000
O: 0.253 0.240 0.954
O: 0.271 0.230 0.536
O: 0.279 0.812 0.559
O: 0.301 0.759 0.029
O: 0.699 0.241 0.971
O: 0.721 0.188 0.441
O: 0.729 0.770 0.464
O: 0.747 0.760 0.046



[9]
Theoretical powder diffractogram of CdCoO3 for Cu Kα (weighted mean of Kα1 and Kα2), from a PBE+U-relaxed structure.

Top 8 peaks for 5° ≤ 2θ ≤ 70°, low angle first:
d/Å, two_theta, I/Imax
3.788, 23.48, 10
2.695, 33.25, 26
2.679, 33.44, 100
2.657, 33.73, 21
1.897, 47.95, 14
1.892, 48.09, 24
1.552, 59.56, 33
1.538, 60.15, 13

Cell and atoms:
Cell lengths 5.315, 7.589, 5.389 Å; angles 90.00, 90.00, 90.00 degrees
Positions (direct):
Cd: 0.040 0.250 0.006
Cd: 0.460 0.750 0.506
Cd: 0.540 0.250 0.494
Cd: 0.960 0.750 0.994
Co: 0.000 0.000 0.500
Co: 0.000 0.500 0.500
Co: 0.500 0.000 0.000
Co: 0.500 0.500 0.000
O: 0.034 0.750 0.404
O: 0.228 0.550 0.814
O: 0.228 0.950 0.814
O: 0.272 0.050 0.314
O: 0.272 0.450 0.314
O: 0.466 0.250 0.904
O: 0.534 0.750 0.096
O: 0.728 0.550 0.686
O: 0.728 0.950 0.686
O: 0.772 0.050 0.186
O: 0.772 0.450 0.186
O: 0.966 0.250 0.596



[10]
Theoretical powder diffractogram of CdCo2O4 for Cu Kα (weighted mean of Kα1 and Kα2), from a PBE+U-relaxed structure.

Top 8 peaks for 5° ≤ 2θ ≤ 70°, low angle first:
d/Å, two_theta, I/Imax
3.543, 25.14, 100
2.752, 32.53, 55
2.620, 34.22, 52
2.475, 36.30, 46
2.257, 39.94, 37
2.052, 44.14, 40
1.840, 49.53, 75
1.429, 65.30, 41

Cell and atoms:
Cell lengths 5.715, 11.009, 4.950 Å; angles 90.00, 90.00, 90.00 degrees
Positions (direct):
Cd: 0.250 0.250 0.039
Cd: 0.250 0.750 0.368
Cd: 0.750 0.250 0.632
Cd: 0.750 0.750 0.961
Co: 0.000 0.000 0.500
Co: 0.000 0.500 0.500
Co: 0.250 0.506 0.996
Co: 0.250 0.994 0.996
Co: 0.500 0.000 0.500
Co: 0.500 0.500 0.500
Co: 0.750 0.006 0.004
Co: 0.750 0.494 0.004
O: 0.001 0.595 0.167
O: 0.001 0.905 0.167
O: 0.250 0.087 0.325
O: 0.250 0.413 0.325
O: 0.250 0.591 0.658
O: 0.250 0.909 0.658
O: 0.499 0.595 0.167
O: 0.499 0.905 0.167
O: 0.501 0.095 0.833
O: 0.501 0.405 0.833
O: 0.750 0.091 0.342
O: 0.750 0.409 0.342
O: 0.750 0.587 0.675
O: 0.750 0.913 0.675
O: 0.999 0.095 0.833
O: 0.999 0.405 0.833



[11]
Theoretical powder diffractogram of CdCoO3 for Cu Kα (weighted mean of Kα1 and Kα2), from a PBE+U-relaxed structure.

Top 8 peaks for 5° ≤ 2θ ≤ 70°, low angle first:
d/Å, two_theta, I/Imax
3.794, 23.45, 24
2.854, 31.34, 100
2.539, 35.36, 82
2.479, 36.24, 20
1.897, 47.96, 33
1.782, 51.28, 29
1.520, 60.97, 30
1.466, 63.47, 23

Cell and atoms:
Cell lengths 5.798, 5.798, 5.798 Å; angles 51.93, 51.93, 51.93 degrees
Positions (direct):
Cd: 0.133 0.133 0.133
Cd: 0.867 0.867 0.867
Co: 0.337 0.337 0.337
Co: 0.663 0.663 0.663
O: 0.059 0.468 0.683
O: 0.317 0.941 0.532
O: 0.468 0.683 0.059
O: 0.532 0.317 0.941
O: 0.683 0.059 0.468
O: 0.941 0.532 0.317



[12]
Theoretical powder diffractogram of CdCo2O4 for Cu Kα (weighted mean of Kα1 and Kα2), from a PBE+U-relaxed structure.

Top 8 peaks for 5° ≤ 2θ ≤ 70°, low angle first:
d/Å, two_theta, I/Imax
3.144, 28.38, 28
3.062, 29.16, 52
2.668, 33.59, 100
2.570, 34.91, 44
1.799, 50.74, 19
1.708, 53.66, 34
1.572, 58.73, 19
1.531, 60.46, 34

Cell and atoms:
Cell lengths 6.133, 6.133, 6.133 Å; angles 118.31, 118.31, 92.95 degrees
Positions (direct):
Cd: 0.375 0.625 0.750
Cd: 0.625 0.375 0.250
Co: 0.000 0.000 0.000
Co: 0.000 0.000 0.500
Co: 0.000 0.500 0.000
Co: 0.500 0.000 0.500
O: 0.194 0.230 0.964
O: 0.230 0.194 0.464
O: 0.230 0.766 0.036
O: 0.234 0.770 0.464
O: 0.766 0.230 0.536
O: 0.770 0.234 0.964
O: 0.770 0.806 0.536
O: 0.806 0.770 0.036